# 1
# Nb4AsC2S
Simulated powder XRD pattern, Cu Kα (λ = 1.5418 Å). Input: a GGA-PBE-relaxed structure.
Lines closer than 0.1° are merged.

Principal peaks in the range 2θ from 15° to 90°, low angle first:
2theta, I/Imax
31.0, 27
32.0, 8
38.6, 100
45.8, 11
55.2, 26
56.3, 11
63.6, 4
69.4, 17
74.5, 15
79.8, 8

Atomic structure:
Unit cell a=3.3262 b=3.3262 c=11.8972 alpha=90.00 beta=90.00 gamma=120.00
Fractional coordinates of all 8 atoms:
1 Nb 0.0000 0.0000 0.1506
2 Nb 0.0000 0.0000 0.8494
3 Nb 0.6667 0.3333 0.3406
4 Nb 0.6667 0.3333 0.6594
5 As 0.0000 0.0000 0.5000
6 C 0.3333 0.6667 0.2456
7 C 0.3333 0.6667 0.7544
8 S 0.6667 0.3333 0.0000

---

# 2
# BaCu2SnSeS3
Simulated powder XRD pattern, Cu Kα (λ = 1.5418 Å). Input: a GGA-PBE-relaxed structure.
Lines closer than 0.1° are merged.

Principal peaks in the range 2θ from 15° to 90°, low angle first:
2theta, I/Imax
15.8, 38
18.2, 36
23.6, 53
27.8, 64
28.1, 100
28.3, 42
32.0, 47
34.4, 28
36.1, 55
36.9, 57

Atomic structure:
Unit cell a=6.4320 b=6.4745 c=6.4928 alpha=60.27 beta=60.88 gamma=80.41
Fractional coordinates of all 8 atoms:
1 Ba 0.0000 0.0000 0.0000
2 Cu 0.3260 0.6478 0.5065
3 Cu 0.6692 0.3405 0.5078
4 Sn 0.4949 0.4885 0.0171
5 Se 0.5021 0.8555 0.5955
6 S 0.1401 0.4882 0.4070
7 S 0.4998 0.1479 0.9494
8 S 0.8452 0.4917 0.0687

---

# 3
# K2NbAgBr6
Simulated powder XRD pattern, Cu Kα (λ = 1.5418 Å). Input: a GGA-PBE-relaxed structure.
Lines closer than 0.1° are merged.

Principal peaks in the range 2θ from 15° to 90°, low angle first:
2theta, I/Imax
16.2, 78
28.2, 43
32.7, 100
36.7, 40
47.0, 69
50.0, 21
55.7, 17
58.4, 23
78.1, 29
87.3, 22

Atomic structure:
Unit cell a=7.7401 b=7.7401 c=7.7401 alpha=60.00 beta=60.00 gamma=60.00
Fractional coordinates of all 10 atoms:
1 K 0.2500 0.2500 0.2500
2 K 0.7500 0.7500 0.7500
3 Nb 0.0000 0.0000 0.0000
4 Ag 0.5000 0.5000 0.5000
5 Br 0.2423 0.2423 0.7577
6 Br 0.2423 0.7577 0.2423
7 Br 0.2423 0.7577 0.7577
8 Br 0.7577 0.2423 0.2423
9 Br 0.7577 0.2423 0.7577
10 Br 0.7577 0.7577 0.2423

---

# 4
# Y4Sc2Zn3C3
Simulated powder XRD pattern, Cu Kα (λ = 1.5418 Å). Input: a GGA-PBE-relaxed structure.
Lines closer than 0.1° are merged.

Principal peaks in the range 2θ from 15° to 90°, low angle first:
2theta, I/Imax
28.2, 12
29.9, 58
31.8, 42
34.8, 100
37.3, 34
38.6, 66
51.8, 34
53.5, 20
63.9, 23
65.6, 27

Atomic structure:
Unit cell a=6.1090 b=6.1090 c=14.8962 alpha=101.82 beta=101.82 gamma=59.98
Fractional coordinates of all 24 atoms:
1 Y 0.0361 0.1962 0.0988
2 Y 0.1315 0.3003 0.4012
3 Y 0.1962 0.0361 0.5988
4 Y 0.3003 0.1315 0.9012
5 Y 0.6997 0.8685 0.0988
6 Y 0.8038 0.9639 0.4012
7 Y 0.8685 0.6997 0.5988
8 Y 0.9639 0.8038 0.9012
9 Sc 0.3530 0.5244 0.0727
10 Sc 0.4756 0.6470 0.4273
11 Sc 0.5244 0.3530 0.5727
12 Sc 0.6470 0.4756 0.9273
13 Zn 0.1690 0.5825 0.2501
14 Zn 0.3335 0.6665 0.7500
15 Zn 0.4175 0.8310 0.2499
16 Zn 0.5825 0.1690 0.7501
17 Zn 0.6665 0.3335 0.2500
18 Zn 0.8310 0.4175 0.7499
19 C 0.0000 0.5000 0.0000
20 C 0.1749 0.6628 0.5002
21 C 0.3372 0.8251 0.9998
22 C 0.5000 0.0000 0.5000
23 C 0.6628 0.1749 0.0002
24 C 0.8251 0.3372 0.4998

---

# 5
# TbErMg2Ge2
Simulated powder XRD pattern, Cu Kα (λ = 1.5418 Å). Input: a GGA-PBE-relaxed structure.
Lines closer than 0.1° are merged.

Principal peaks in the range 2θ from 15° to 90°, low angle first:
2theta, I/Imax
23.3, 29
27.6, 54
30.3, 100
32.5, 56
35.3, 35
36.5, 44
38.6, 66
43.3, 58
47.2, 36
57.1, 35

Atomic structure:
Unit cell a=4.1769 b=4.1769 c=15.2581 alpha=90.00 beta=90.00 gamma=90.00
Fractional coordinates of all 12 atoms:
1 Tb 0.0000 0.0000 0.0000
2 Tb 0.5000 0.5000 0.5000
3 Er 0.0000 0.0000 0.3397
4 Er 0.5000 0.5000 0.8397
5 Mg 0.0000 0.5000 0.1705
6 Mg 0.0000 0.5000 0.6705
7 Mg 0.5000 0.0000 0.1705
8 Mg 0.5000 0.0000 0.6705
9 Ge 0.0000 0.0000 0.5338
10 Ge 0.0000 0.0000 0.8060
11 Ge 0.5000 0.5000 0.0338
12 Ge 0.5000 0.5000 0.3060

---

# 6
# PdBrN
Simulated powder XRD pattern, Cu Kα (λ = 1.5418 Å). Input: a GGA-PBE-relaxed structure.
Lines closer than 0.1° are merged.

Principal peaks in the range 2θ from 15° to 90°, low angle first:
2theta, I/Imax
24.3, 100
34.5, 75
36.8, 47
38.6, 12
42.0, 15
44.7, 22
47.9, 32
56.1, 15
57.6, 33
62.0, 14

Atomic structure:
Unit cell a=3.2787 b=4.0557 c=8.5381 alpha=90.00 beta=90.00 gamma=90.00
Fractional coordinates of all 6 atoms:
1 Pd 0.2500 0.2500 0.1069
2 Pd 0.7500 0.7500 0.8931
3 Br 0.2500 0.7500 0.6665
4 Br 0.7500 0.2500 0.3335
5 N 0.2500 0.7500 0.0476
6 N 0.7500 0.2500 0.9524

---

# 7
# Li3MgAg2
Simulated powder XRD pattern, Cu Kα (λ = 1.5418 Å). Input: a GGA-PBE-relaxed structure.
Lines closer than 0.1° are merged.

Principal peaks in the range 2θ from 15° to 90°, low angle first:
2theta, I/Imax
19.0, 99
20.4, 35
28.0, 30
35.7, 65
38.5, 21
40.7, 100
53.5, 38
67.5, 17
71.2, 18
77.3, 15

Atomic structure:
Unit cell a=5.0335 b=5.0335 c=4.6719 alpha=90.00 beta=90.00 gamma=120.00
Fractional coordinates of all 6 atoms:
1 Li 0.0000 0.3595 0.0000
2 Li 0.3595 0.0000 0.0000
3 Li 0.6405 0.6405 0.0000
4 Mg 0.0000 0.0000 0.5000
5 Ag 0.3333 0.6667 0.5000
6 Ag 0.6667 0.3333 0.5000

---

# 8
# ZrB4Os
Simulated powder XRD pattern, Cu Kα (λ = 1.5418 Å). Input: a GGA-PBE-relaxed structure.
Lines closer than 0.1° are merged.

Principal peaks in the range 2θ from 15° to 90°, low angle first:
2theta, I/Imax
17.0, 27
21.7, 23
25.7, 83
31.4, 84
35.0, 20
38.7, 38
41.0, 100
43.9, 26
47.0, 55
62.7, 24

Atomic structure:
Unit cell a=5.8770 b=11.4064 c=3.4707 alpha=90.00 beta=90.00 gamma=90.00
Fractional coordinates of all 24 atoms:
1 Zr 0.1294 0.1494 0.0000
2 Zr 0.3706 0.6494 0.0000
3 Zr 0.6294 0.3506 0.0000
4 Zr 0.8706 0.8506 0.0000
5 B 0.0290 0.6935 0.5000
6 B 0.1158 0.5472 0.5000
7 B 0.1322 0.9694 0.5000
8 B 0.2056 0.8117 0.5000
9 B 0.2944 0.3117 0.5000
10 B 0.3678 0.4694 0.5000
11 B 0.3842 0.0472 0.5000
12 B 0.4710 0.1935 0.5000
13 B 0.5290 0.8065 0.5000
14 B 0.6158 0.9528 0.5000
15 B 0.6322 0.5306 0.5000
16 B 0.7056 0.6883 0.5000
17 B 0.7944 0.1883 0.5000
18 B 0.8678 0.0306 0.5000
19 B 0.8842 0.4528 0.5000
20 B 0.9710 0.3065 0.5000
21 Os 0.1408 0.4035 0.0000
22 Os 0.3592 0.9035 0.0000
23 Os 0.6408 0.0965 0.0000
24 Os 0.8592 0.5965 0.0000

---

# 9
# Nb6SnPt
Simulated powder XRD pattern, Cu Kα (λ = 1.5418 Å). Input: a GGA-PBE-relaxed structure.
Lines closer than 0.1° are merged.

Principal peaks in the range 2θ from 15° to 90°, low angle first:
2theta, I/Imax
23.9, 12
34.1, 45
38.3, 78
42.1, 100
63.8, 16
66.5, 52
71.8, 16
81.9, 15
84.4, 15
86.9, 13

Atomic structure:
Unit cell a=5.2587 b=5.2587 c=5.2587 alpha=90.00 beta=90.00 gamma=90.00
Fractional coordinates of all 8 atoms:
1 Nb 0.0000 0.2557 0.5000
2 Nb 0.0000 0.7443 0.5000
3 Nb 0.2557 0.5000 0.0000
4 Nb 0.5000 0.0000 0.2557
5 Nb 0.5000 0.0000 0.7443
6 Nb 0.7443 0.5000 0.0000
7 Sn 0.0000 0.0000 0.0000
8 Pt 0.5000 0.5000 0.5000

---

# 10
# NaHg3Te4Pt
Simulated powder XRD pattern, Cu Kα (λ = 1.5418 Å). Input: a GGA-PBE-relaxed structure.
Lines closer than 0.1° are merged.

Principal peaks in the range 2θ from 15° to 90°, low angle first:
2theta, I/Imax
22.7, 61
29.4, 24
37.5, 100
39.9, 18
44.3, 31
48.4, 13
54.1, 17
59.4, 13
67.7, 35
80.0, 11

Atomic structure:
Unit cell a=6.7820 b=6.7820 c=6.7820 alpha=90.00 beta=90.00 gamma=90.00
Fractional coordinates of all 9 atoms:
1 Na 0.0000 0.0000 0.0000
2 Hg 0.0000 0.5000 0.5000
3 Hg 0.5000 0.0000 0.5000
4 Hg 0.5000 0.5000 0.0000
5 Te 0.2618 0.2618 0.2618
6 Te 0.2618 0.7382 0.7382
7 Te 0.7382 0.2618 0.7382
8 Te 0.7382 0.7382 0.2618
9 Pt 0.5000 0.5000 0.5000